[1]
HfFe10B3: computed powder X-ray diffraction pattern (Cu Ka), based on a GGA-PBE-relaxed structure.
Neutral-atom scattering factors, no anomalous dispersion.

Main lines, sorted by position (2θ from 15° to 90°):
Position (°2θ), I_rel
16.6, 40
23.5, 12
37.6, 100
41.3, 58
44.0, 72
48.1, 31
50.5, 32
54.2, 10
57.1, 28
72.9, 28
75.4, 33
89.8, 20

Structural model:
Cell lengths 7.565, 7.565, 7.565 Å; angles 60.00, 60.00, 60.00 degrees
Element x y z (fractional)
Hf (0.250, 0.250, 0.250)
Hf (0.750, 0.750, 0.750)
Fe (0.000, 0.000, 0.336)
Fe (0.000, 0.000, 0.664)
Fe (0.000, 0.336, 0.000)
Fe (0.000, 0.336, 0.664)
Fe (0.000, 0.664, 0.000)
Fe (0.000, 0.664, 0.336)
Fe (0.159, 0.614, 0.614)
Fe (0.336, 0.000, 0.000)
Fe (0.336, 0.000, 0.664)
Fe (0.336, 0.664, 0.000)
Fe (0.386, 0.386, 0.386)
Fe (0.386, 0.386, 0.841)
Fe (0.386, 0.841, 0.386)
Fe (0.614, 0.159, 0.614)
Fe (0.614, 0.614, 0.159)
Fe (0.614, 0.614, 0.614)
Fe (0.664, 0.000, 0.000)
Fe (0.664, 0.000, 0.336)
Fe (0.664, 0.336, 0.000)
Fe (0.841, 0.386, 0.386)
B (0.273, 0.273, 0.727)
B (0.273, 0.727, 0.273)
B (0.273, 0.727, 0.727)
B (0.727, 0.273, 0.273)
B (0.727, 0.273, 0.727)
B (0.727, 0.727, 0.273)

---

[2]
HfFe22B6: computed powder X-ray diffraction pattern (Cu Ka), based on a GGA-PBE-relaxed structure.
Neutral-atom scattering factors, no anomalous dispersion.

Main lines, sorted by position (2θ from 15° to 90°):
Position (°2θ), I_rel
27.8, 15
29.0, 10
37.8, 5
41.5, 36
44.2, 100
48.3, 25
50.7, 7
51.5, 15
54.5, 4
75.8, 22
77.6, 15
87.3, 5

Structural model:
Cell lengths 7.534, 7.534, 7.534 Å; angles 60.00, 60.00, 60.00 degrees
Element x y z (fractional)
Hf (0.000, 0.000, 0.000)
Fe (0.000, 0.000, 0.348)
Fe (0.000, 0.000, 0.652)
Fe (0.000, 0.348, 0.000)
Fe (0.000, 0.348, 0.652)
Fe (0.000, 0.652, 0.000)
Fe (0.000, 0.652, 0.348)
Fe (0.146, 0.618, 0.618)
Fe (0.250, 0.250, 0.250)
Fe (0.348, 0.000, 0.000)
Fe (0.348, 0.000, 0.652)
Fe (0.348, 0.652, 0.000)
Fe (0.382, 0.382, 0.382)
Fe (0.382, 0.382, 0.854)
Fe (0.382, 0.854, 0.382)
Fe (0.618, 0.146, 0.618)
Fe (0.618, 0.618, 0.146)
Fe (0.618, 0.618, 0.618)
Fe (0.652, 0.000, 0.000)
Fe (0.652, 0.000, 0.348)
Fe (0.652, 0.348, 0.000)
Fe (0.750, 0.750, 0.750)
Fe (0.854, 0.382, 0.382)
B (0.272, 0.272, 0.728)
B (0.272, 0.728, 0.272)
B (0.272, 0.728, 0.728)
B (0.728, 0.272, 0.272)
B (0.728, 0.272, 0.728)
B (0.728, 0.728, 0.272)

---

[3]
HoFe2B4: computed powder X-ray diffraction pattern (Cu Ka), based on a GGA-PBE-relaxed structure.
Neutral-atom scattering factors, no anomalous dispersion.

Main lines, sorted by position (2θ from 15° to 90°):
Position (°2θ), I_rel
25.9, 31
28.1, 74
29.9, 26
35.3, 82
39.3, 25
42.6, 100
43.0, 59
48.6, 22
55.6, 20
68.2, 29
69.0, 27
77.1, 20

Structural model:
Cell lengths 7.226, 7.226, 7.226 Å; angles 155.54, 153.86, 36.10 degrees
Element x y z (fractional)
Ho (0.000, 0.000, 0.000)
Fe (0.192, 0.692, 0.500)
Fe (0.808, 0.308, 0.500)
B (0.343, 0.843, 0.500)
B (0.399, 0.399, 0.000)
B (0.601, 0.601, 0.000)
B (0.657, 0.157, 0.500)

---

[4]
Ho2FeB10: computed powder X-ray diffraction pattern (Cu Ka), based on a GGA-PBE-relaxed structure.
Neutral-atom scattering factors, no anomalous dispersion.

Main lines, sorted by position (2θ from 15° to 90°):
Position (°2θ), I_rel
21.5, 29
22.6, 74
31.4, 100
32.2, 15
32.3, 18
39.0, 36
39.1, 43
43.7, 16
46.2, 23
49.8, 33
51.5, 15
57.1, 14

Structural model:
Cell lengths 5.564, 11.082, 4.140 Å; angles 90.00, 90.00, 90.00 degrees
Element x y z (fractional)
Ho (0.217, 0.129, 0.000)
Ho (0.283, 0.629, 0.000)
Ho (0.717, 0.371, 0.000)
Ho (0.783, 0.871, 0.000)
Fe (0.000, 0.500, 0.500)
Fe (0.500, 0.000, 0.500)
B (0.032, 0.314, 0.500)
B (0.128, 0.961, 0.500)
B (0.155, 0.802, 0.500)
B (0.204, 0.386, 0.201)
B (0.204, 0.386, 0.799)
B (0.296, 0.886, 0.201)
B (0.296, 0.886, 0.799)
B (0.345, 0.302, 0.500)
B (0.372, 0.461, 0.500)
B (0.468, 0.814, 0.500)
B (0.532, 0.186, 0.500)
B (0.628, 0.539, 0.500)
B (0.655, 0.698, 0.500)
B (0.704, 0.114, 0.201)
B (0.704, 0.114, 0.799)
B (0.796, 0.614, 0.201)
B (0.796, 0.614, 0.799)
B (0.845, 0.198, 0.500)
B (0.872, 0.039, 0.500)
B (0.968, 0.686, 0.500)

---

[5]
HoFeB4: computed powder X-ray diffraction pattern (Cu Ka), based on a GGA-PBE-relaxed structure.
Neutral-atom scattering factors, no anomalous dispersion.

Main lines, sorted by position (2θ from 15° to 90°):
Position (°2θ), I_rel
21.8, 25
26.5, 65
28.0, 31
31.5, 87
34.5, 21
35.1, 17
38.9, 33
41.6, 100
44.5, 22
47.6, 20
54.6, 15
64.3, 22

Structural model:
Cell lengths 5.877, 11.369, 3.364 Å; angles 90.00, 90.00, 90.00 degrees
Element x y z (fractional)
Ho (0.127, 0.150, 0.000)
Ho (0.373, 0.650, 0.000)
Ho (0.627, 0.350, 0.000)
Ho (0.873, 0.850, 0.000)
Fe (0.133, 0.411, 0.000)
Fe (0.367, 0.911, 0.000)
Fe (0.633, 0.089, 0.000)
Fe (0.867, 0.589, 0.000)
B (0.025, 0.691, 0.500)
B (0.111, 0.546, 0.500)
B (0.139, 0.968, 0.500)
B (0.218, 0.816, 0.500)
B (0.282, 0.316, 0.500)
B (0.361, 0.468, 0.500)
B (0.389, 0.046, 0.500)
B (0.475, 0.191, 0.500)
B (0.525, 0.809, 0.500)
B (0.611, 0.954, 0.500)
B (0.639, 0.532, 0.500)
B (0.718, 0.684, 0.500)
B (0.782, 0.184, 0.500)
B (0.861, 0.032, 0.500)
B (0.889, 0.454, 0.500)
B (0.975, 0.309, 0.500)

---

[6]
Ho2Fe3B6: computed powder X-ray diffraction pattern (Cu Ka), based on a GGA-PBE-relaxed structure.
Neutral-atom scattering factors, no anomalous dispersion.

Main lines, sorted by position (2θ from 15° to 90°):
Position (°2θ), I_rel
23.7, 25
25.5, 38
31.2, 43
32.6, 49
40.7, 100
41.8, 13
45.7, 14
48.4, 12
52.3, 14
59.9, 12
62.2, 12
70.5, 15

Structural model:
Cell lengths 5.804, 5.804, 3.497 Å; angles 90.00, 90.00, 99.29 degrees
Element x y z (fractional)
Ho (0.214, 0.786, 0.000)
Ho (0.786, 0.214, 0.000)
Fe (0.293, 0.293, 0.000)
Fe (0.500, 0.500, 0.500)
Fe (0.707, 0.707, 0.000)
B (0.114, 0.419, 0.500)
B (0.119, 0.119, 0.500)
B (0.419, 0.114, 0.500)
B (0.581, 0.886, 0.500)
B (0.881, 0.881, 0.500)
B (0.886, 0.581, 0.500)

---

[7]
Ho2FeB2Ru5: computed powder X-ray diffraction pattern (Cu Ka), based on a GGA-PBE-relaxed structure.
Neutral-atom scattering factors, no anomalous dispersion.

Main lines, sorted by position (2θ from 15° to 90°):
Position (°2θ), I_rel
20.9, 17
35.9, 97
39.0, 100
39.6, 31
40.2, 29
41.9, 96
42.5, 29
45.2, 31
60.0, 20
66.2, 16
70.3, 22
73.9, 30

Structural model:
Cell lengths 9.517, 9.517, 3.086 Å; angles 90.00, 90.00, 90.00 degrees
Element x y z (fractional)
Ho (0.176, 0.324, 0.000)
Ho (0.324, 0.824, 0.000)
Ho (0.676, 0.176, 0.000)
Ho (0.824, 0.676, 0.000)
Fe (0.000, 0.000, 0.000)
Fe (0.500, 0.500, 0.000)
B (0.123, 0.623, 0.000)
B (0.377, 0.123, 0.000)
B (0.623, 0.877, 0.000)
B (0.877, 0.377, 0.000)
Ru (0.000, 0.500, 0.500)
Ru (0.070, 0.786, 0.500)
Ru (0.214, 0.070, 0.500)
Ru (0.286, 0.570, 0.500)
Ru (0.430, 0.286, 0.500)
Ru (0.500, 0.000, 0.500)
Ru (0.570, 0.714, 0.500)
Ru (0.714, 0.430, 0.500)
Ru (0.786, 0.930, 0.500)
Ru (0.930, 0.214, 0.500)

---

[8]
In2FeB2Rh5: computed powder X-ray diffraction pattern (Cu Ka), based on a GGA-PBE-relaxed structure.
Neutral-atom scattering factors, no anomalous dispersion.

Main lines, sorted by position (2θ from 15° to 90°):
Position (°2θ), I_rel
33.7, 17
36.9, 79
38.8, 100
39.9, 24
40.5, 34
42.2, 37
42.7, 93
45.9, 38
62.8, 18
70.5, 21
76.3, 26
77.5, 19

Structural model:
Cell lengths 9.579, 9.579, 2.961 Å; angles 90.00, 90.00, 90.00 degrees
Element x y z (fractional)
In (0.178, 0.322, 0.000)
In (0.322, 0.822, 0.000)
In (0.678, 0.178, 0.000)
In (0.822, 0.678, 0.000)
Fe (0.000, 0.000, 0.000)
Fe (0.500, 0.500, 0.000)
B (0.125, 0.625, 0.000)
B (0.375, 0.125, 0.000)
B (0.625, 0.875, 0.000)
B (0.875, 0.375, 0.000)
Rh (0.000, 0.500, 0.500)
Rh (0.069, 0.782, 0.500)
Rh (0.218, 0.069, 0.500)
Rh (0.282, 0.569, 0.500)
Rh (0.431, 0.282, 0.500)
Rh (0.500, 0.000, 0.500)
Rh (0.569, 0.718, 0.500)
Rh (0.718, 0.431, 0.500)
Rh (0.782, 0.931, 0.500)
Rh (0.931, 0.218, 0.500)